Theoretical powder X-ray diffraction pattern
Compound: Ti2SbAu
Radiation: Cu Ka
Structure: the GGA-PBE geometry in Alexandria
Peak positions follow from Bragg's law for the DFT cell and can differ from measured ones.

The 10 most intense peaks (10 to 80 degrees two-theta), sorted by position:
d [Å]	2theta	Rel. int.
3.563	25.0	48.7
2.915	30.7	14.8
2.520	35.6	69.0
2.256	40.0	100.0
1.906	47.7	18.5
1.782	51.3	23.9
1.594	57.9	10.6
1.520	60.9	9.2
1.398	66.9	42.3
1.261	75.3	15.0

Structural model:
a b c (Å): 3.5635 3.5635 5.8291
angles (deg): 90.00 90.00 90.00
Sites, in units of the cell vectors:
Ti 0.0000 0.0000 0.2472
Ti 0.0000 0.0000 0.7528
Sb 0.5000 0.5000 0.0000
Au 0.5000 0.5000 0.5000

Theoretical powder X-ray diffraction pattern
Compound: CeGaGe2Ru
Radiation: Cu Ka
Structure: the GGA-PBE geometry in Alexandria
Peak positions follow from Bragg's law for the DFT cell and can differ from measured ones.

The 10 most intense peaks (10 to 80 degrees two-theta), sorted by position:
d [Å]	2theta	Rel. int.
2.918	30.6	28.0
2.878	31.1	13.3
2.603	34.5	12.0
2.590	34.6	19.8
2.562	35.0	32.9
2.362	38.1	28.6
2.346	38.4	14.3
2.318	38.9	100.0
2.049	44.2	45.4
1.541	60.0	27.6

Structural model:
a b c (Å): 5.8370 5.6211 5.7559
angles (deg): 90.00 90.00 90.00
Sites, in units of the cell vectors:
Ce 0.2500 0.0000 0.2206
Ce 0.7500 0.0000 0.7794
Ga 0.2500 0.5000 0.3664
Ga 0.7500 0.5000 0.6336
Ge 0.2500 0.2356 0.7352
Ge 0.2500 0.7644 0.7352
Ge 0.7500 0.2356 0.2648
Ge 0.7500 0.7644 0.2648
Ru 0.0000 0.5000 0.0000
Ru 0.5000 0.5000 0.0000

Theoretical powder X-ray diffraction pattern
Compound: Ca3TmPa2P6
Radiation: Cu Ka
Structure: the GGA-PBE geometry in Alexandria
Peak positions follow from Bragg's law for the DFT cell and can differ from measured ones.

The 10 most intense peaks (10 to 80 degrees two-theta), sorted by position:
d [Å]	2theta	Rel. int.
6.630	13.4	71.8
3.452	25.8	42.6
3.306	27.0	51.7
2.865	31.2	100.0
2.208	40.9	20.3
2.028	44.7	35.9
2.024	44.8	36.5
1.935	46.9	20.6
1.728	53.0	20.5
1.653	55.6	19.0

Structural model:
a b c (Å): 7.0095 7.0095 7.0289
angles (deg): 99.56 99.56 119.99
Sites, in units of the cell vectors:
Ca 0.0000 0.0000 0.0000
Ca 0.3346 0.6654 0.0000
Ca 0.6654 0.3346 0.0000
Tm 0.5000 0.5000 0.5000
Pa 0.1669 0.8331 0.5000
Pa 0.8331 0.1669 0.5000
P 0.0848 0.4235 0.2706
P 0.2381 0.2381 0.7302
P 0.4235 0.0848 0.2706
P 0.5765 0.9152 0.7294
P 0.7619 0.7619 0.2698
P 0.9152 0.5765 0.7294

Theoretical powder X-ray diffraction pattern
Compound: TlHPt
Radiation: Cu Ka
Structure: the GGA-PBE geometry in Alexandria
Peak positions follow from Bragg's law for the DFT cell and can differ from measured ones.

The 10 most intense peaks (10 to 80 degrees two-theta), sorted by position:
d [Å]	2theta	Rel. int.
4.833	18.4	41.8
3.146	28.4	100.0
2.981	30.0	39.3
2.417	37.2	48.7
2.366	38.0	49.2
2.222	40.6	72.8
2.205	40.9	43.8
1.944	46.7	24.9
1.904	47.8	28.5
1.392	67.3	35.3

Structural model:
a b c (Å): 6.0021 6.0021 3.8872
angles (deg): 90.00 90.00 126.37
Sites, in units of the cell vectors:
Tl 0.1632 0.8368 0.0000
Tl 0.8368 0.1632 0.0000
H 0.4022 0.5978 0.5000
H 0.5978 0.4022 0.5000
Pt 0.2438 0.2438 0.5000
Pt 0.7562 0.7562 0.5000

Theoretical powder X-ray diffraction pattern
Compound: Mo3Pt2Rh6
Radiation: Cu Ka
Structure: the GGA-PBE geometry in Alexandria
Peak positions follow from Bragg's law for the DFT cell and can differ from measured ones.

The 10 most intense peaks (10 to 80 degrees two-theta), sorted by position:
d [Å]	2theta	Rel. int.
2.771	32.3	25.5
2.388	37.7	51.2
2.229	40.5	70.2
2.210	40.8	100.0
2.175	41.5	24.1
2.159	41.8	83.7
2.133	42.4	41.0
2.106	43.0	78.5
2.094	43.2	57.6
2.057	44.0	35.7

Structural model:
a b c (Å): 4.8018 6.4180 6.5176
angles (deg): 104.08 108.40 108.58
Sites, in units of the cell vectors:
Mo 0.0000 0.0000 0.0000
Mo 0.4634 0.2743 0.4674
Mo 0.5366 0.7257 0.5326
Pt 0.0252 0.8185 0.3619
Pt 0.9748 0.1815 0.6381
Rh 0.1017 0.6440 0.7236
Rh 0.3598 0.4378 0.1178
Rh 0.4957 0.9047 0.1744
Rh 0.5043 0.0953 0.8256
Rh 0.6402 0.5622 0.8822
Rh 0.8983 0.3560 0.2764

Theoretical powder X-ray diffraction pattern
Compound: SnTePbO6
Radiation: Cu Ka
Structure: the GGA-PBE geometry in Alexandria
Peak positions follow from Bragg's law for the DFT cell and can differ from measured ones.

The 10 most intense peaks (10 to 80 degrees two-theta), sorted by position:
d [Å]	2theta	Rel. int.
3.549	25.1	100.0
2.710	33.1	46.9
2.153	42.0	24.2
1.917	47.4	39.7
1.686	54.4	35.8
1.564	59.1	11.4
1.432	65.1	8.0
1.355	69.3	11.1
1.266	75.0	19.7
1.212	79.0	16.1

Structural model:
a b c (Å): 5.4172 5.4172 10.8522
angles (deg): 90.00 90.00 120.00
Sites, in units of the cell vectors:
Sn 0.3333 0.6667 0.2500
Sn 0.6667 0.3333 0.7500
Te 0.3333 0.6667 0.7500
Te 0.6667 0.3333 0.2500
Pb 0.0000 0.0000 0.0000
Pb 0.0000 0.0000 0.5000
O 0.0184 0.3868 0.6469
O 0.0184 0.6317 0.8531
O 0.3683 0.3868 0.8531
O 0.3683 0.9816 0.6469
O 0.3868 0.0184 0.1469
O 0.3868 0.3683 0.3531
O 0.6132 0.6317 0.6469
O 0.6132 0.9816 0.8531
O 0.6317 0.0184 0.3531
O 0.6317 0.6132 0.1469
O 0.9816 0.3683 0.1469
O 0.9816 0.6132 0.3531

Theoretical powder X-ray diffraction pattern
Compound: Be2Fe2Sn
Radiation: Cu Ka
Structure: the GGA-PBE geometry in Alexandria
Peak positions follow from Bragg's law for the DFT cell and can differ from measured ones.

The 10 most intense peaks (10 to 80 degrees two-theta), sorted by position:
d [Å]	2theta	Rel. int.
4.362	20.4	69.9
2.759	32.5	43.4
2.404	37.4	94.9
2.181	41.4	38.6
2.106	43.0	100.0
1.993	45.5	46.2
1.951	46.6	83.6
1.379	68.0	18.1
1.360	69.1	21.6
1.298	72.9	33.8

Structural model:
a b c (Å): 6.1692 6.1692 2.8814
angles (deg): 90.00 90.00 90.00
Sites, in units of the cell vectors:
Be 0.1173 0.3827 0.0000
Be 0.3827 0.8827 0.0000
Be 0.6173 0.1173 0.0000
Be 0.8827 0.6173 0.0000
Fe 0.1660 0.6660 0.5000
Fe 0.3340 0.1660 0.5000
Fe 0.6660 0.8340 0.5000
Fe 0.8340 0.3340 0.5000
Sn 0.0000 0.0000 0.0000
Sn 0.5000 0.5000 0.0000

Theoretical powder X-ray diffraction pattern
Compound: La2HfAs3Ir4
Radiation: Cu Ka
Structure: the GGA-PBE geometry in Alexandria
Peak positions follow from Bragg's law for the DFT cell and can differ from measured ones.

The 10 most intense peaks (10 to 80 degrees two-theta), sorted by position:
d [Å]	2theta	Rel. int.
3.346	26.6	16.3
2.775	32.3	36.6
2.616	34.3	100.0
2.097	43.1	55.1
2.027	44.7	37.3
1.963	46.3	26.8
1.673	54.9	18.2
1.483	62.7	18.8
1.433	65.1	18.2
1.290	73.4	22.2

Structural model:
a b c (Å): 4.1932 4.1932 11.1059
angles (deg): 90.00 90.00 90.00
Sites, in units of the cell vectors:
La 0.0000 0.5000 0.2316
La 0.5000 0.0000 0.7684
Hf 0.0000 0.0000 0.5000
As 0.0000 0.5000 0.8677
As 0.5000 0.0000 0.1323
As 0.5000 0.5000 0.5000
Ir 0.0000 0.0000 0.0000
Ir 0.0000 0.5000 0.6432
Ir 0.5000 0.0000 0.3568
Ir 0.5000 0.5000 0.0000